Record 1
Structure and calculated powder diffraction line list of Bi2P3Se9 (a cell relaxed with GGA-PBE; Cu Kα).

Main lines, in order of rising 2θ (10° ≤ 2θ ≤ 80°):
| 2theta | Rel. int. |
| --- | --- |
| 13.61 | 100 |
| 14.25 | 69 |
| 25.09 | 46 |
| 29.44 | 59 |
| 29.69 | 72 |
| 31.81 | 82 |
| 31.90 | 51 |
| 32.09 | 42 |
| 36.06 | 60 |
| 37.81 | 42 |

Structure:
Cell lengths 6.971, 12.468, 18.255 Å; angles 94.29, 90.39, 91.59 degrees
Element x y z (fractional)
Bi: 0.016 0.096 0.114
Bi: 0.064 0.467 0.810
Bi: 0.435 0.976 0.312
Bi: 0.477 0.603 0.618
Bi: 0.523 0.397 0.382
Bi: 0.565 0.024 0.688
Bi: 0.936 0.533 0.190
Bi: 0.984 0.904 0.886
P: 0.049 0.164 0.772
P: 0.059 0.488 0.442
P: 0.070 0.825 0.113
P: 0.431 0.413 0.153
P: 0.435 0.079 0.487
P: 0.453 0.748 0.819
P: 0.547 0.252 0.181
P: 0.565 0.921 0.513
P: 0.569 0.587 0.847
P: 0.930 0.175 0.887
P: 0.941 0.512 0.558
P: 0.951 0.836 0.228
Se: 0.115 0.989 0.750
Se: 0.123 0.319 0.417
Se: 0.135 0.654 0.084
Se: 0.160 0.439 0.626
Se: 0.162 0.383 0.088
Se: 0.164 0.104 0.952
Se: 0.172 0.032 0.422
Se: 0.176 0.782 0.300
Se: 0.205 0.700 0.746
Se: 0.303 0.188 0.243
Se: 0.304 0.271 0.777
Se: 0.320 0.939 0.114
Se: 0.331 0.592 0.446
Se: 0.352 0.512 0.917
Se: 0.353 0.851 0.587
Se: 0.374 0.167 0.594
Se: 0.379 0.511 0.259
Se: 0.387 0.835 0.925
Se: 0.613 0.165 0.075
Se: 0.621 0.489 0.741
Se: 0.626 0.833 0.406
Se: 0.647 0.149 0.413
Se: 0.648 0.488 0.083
Se: 0.669 0.408 0.554
Se: 0.680 0.061 0.886
Se: 0.696 0.729 0.223
Se: 0.697 0.812 0.757
Se: 0.795 0.300 0.254
Se: 0.824 0.218 0.700
Se: 0.828 0.968 0.578
Se: 0.836 0.896 0.048
Se: 0.838 0.617 0.912
Se: 0.840 0.561 0.374
Se: 0.865 0.346 0.916
Se: 0.877 0.681 0.583
Se: 0.885 0.011 0.250

Record 2
Structure and calculated powder diffraction line list of TlBiP2Se6 (a cell relaxed with GGA-PBE; Cu Kα).

Main lines, in order of rising 2θ (10° ≤ 2θ ≤ 80°):
| 2theta | Rel. int. |
| --- | --- |
| 16.63 | 57 |
| 18.99 | 80 |
| 24.64 | 96 |
| 28.65 | 98 |
| 29.21 | 97 |
| 29.49 | 70 |
| 30.36 | 100 |
| 30.74 | 66 |
| 33.62 | 66 |
| 34.38 | 63 |

Structure:
Cell lengths 12.852, 7.679, 12.634 Å; angles 90.00, 113.61, 90.00 degrees
Element x y z (fractional)
Tl: 0.079 0.077 0.348
Tl: 0.079 0.423 0.848
Tl: 0.921 0.577 0.152
Tl: 0.921 0.923 0.652
Bi: 0.379 0.652 0.661
Bi: 0.379 0.848 0.161
Bi: 0.621 0.152 0.839
Bi: 0.621 0.348 0.339
P: 0.263 0.591 0.306
P: 0.263 0.909 0.806
P: 0.264 0.130 0.686
P: 0.264 0.370 0.186
P: 0.736 0.630 0.814
P: 0.736 0.870 0.314
P: 0.737 0.091 0.194
P: 0.737 0.409 0.694
Se: 0.093 0.235 0.602
Se: 0.093 0.265 0.102
Se: 0.164 0.700 0.685
Se: 0.164 0.800 0.185
Se: 0.195 0.006 0.928
Se: 0.195 0.494 0.428
Se: 0.331 0.007 0.564
Se: 0.331 0.493 0.064
Se: 0.389 0.182 0.305
Se: 0.389 0.318 0.805
Se: 0.442 0.686 0.383
Se: 0.442 0.814 0.883
Se: 0.558 0.186 0.117
Se: 0.558 0.314 0.617
Se: 0.611 0.682 0.195
Se: 0.611 0.818 0.695
Se: 0.669 0.507 0.936
Se: 0.669 0.993 0.436
Se: 0.805 0.506 0.572
Se: 0.805 0.994 0.072
Se: 0.836 0.200 0.815
Se: 0.836 0.300 0.315
Se: 0.907 0.735 0.898
Se: 0.907 0.765 0.398

Record 3
Structure and calculated powder diffraction line list of Sr3BiP (a cell relaxed with GGA-PBE; Cu Kα).

Main lines, in order of rising 2θ (10° ≤ 2θ ≤ 80°):
| 2theta | Rel. int. |
| --- | --- |
| 14.32 | 100 |
| 20.31 | 30 |
| 28.88 | 73 |
| 32.37 | 60 |
| 41.29 | 56 |
| 43.93 | 33 |
| 51.17 | 20 |
| 61.86 | 20 |
| 67.77 | 26 |
| 75.29 | 19 |

Structure:
Cell lengths 6.184, 6.184, 6.184 Å; angles 90.00, 90.00, 90.00 degrees
Element x y z (fractional)
Sr: 0.000 0.000 0.500
Sr: 0.000 0.500 0.000
Sr: 0.500 0.000 0.000
Bi: 0.000 0.000 0.000
P: 0.500 0.500 0.500

Record 4
Structure and calculated powder diffraction line list of Sr3BiP (a cell relaxed with GGA-PBE; Cu Kα).

Main lines, in order of rising 2θ (10° ≤ 2θ ≤ 80°):
| 2theta | Rel. int. |
| --- | --- |
| 15.34 | 9 |
| 21.76 | 28 |
| 26.73 | 100 |
| 30.96 | 68 |
| 38.16 | 14 |
| 44.35 | 50 |
| 52.54 | 48 |
| 55.07 | 18 |
| 71.14 | 20 |
| 73.28 | 23 |

Structure:
Cell lengths 5.777, 5.777, 5.777 Å; angles 90.00, 90.00, 90.00 degrees
Element x y z (fractional)
Sr: 0.000 0.000 0.500
Sr: 0.000 0.500 0.000
Sr: 0.500 0.000 0.000
Bi: 0.500 0.500 0.500
P: 0.000 0.000 0.000

Record 5
Structure and calculated powder diffraction line list of Pa2BiTe (a cell relaxed with GGA-PBE; Cu Kα).

Main lines, in order of rising 2θ (10° ≤ 2θ ≤ 80°):
| 2theta | Rel. int. |
| --- | --- |
| 20.42 | 2 |
| 23.62 | 3 |
| 33.64 | 100 |
| 39.68 | 1 |
| 41.52 | 1 |
| 48.32 | 18 |
| 52.97 | 1 |
| 54.46 | 1 |
| 60.17 | 39 |
| 70.73 | 12 |

Structure:
Cell lengths 7.534, 7.534, 7.534 Å; angles 90.00, 90.00, 90.00 degrees
Element x y z (fractional)
Pa: 0.250 0.250 0.250
Pa: 0.250 0.250 0.750
Pa: 0.250 0.750 0.250
Pa: 0.250 0.750 0.750
Pa: 0.750 0.250 0.250
Pa: 0.750 0.250 0.750
Pa: 0.750 0.750 0.250
Pa: 0.750 0.750 0.750
Bi: 0.000 0.000 0.000
Bi: 0.000 0.500 0.500
Bi: 0.500 0.000 0.500
Bi: 0.500 0.500 0.000
Te: 0.000 0.000 0.500
Te: 0.000 0.500 0.000
Te: 0.500 0.000 0.000
Te: 0.500 0.500 0.500

Record 6
Structure and calculated powder diffraction line list of BiPb (a cell relaxed with GGA-PBE; Cu Kα).

Main lines, in order of rising 2θ (10° ≤ 2θ ≤ 80°):
| 2theta | Rel. int. |
| --- | --- |
| 29.33 | 23 |
| 29.93 | 29 |
| 33.02 | 100 |
| 42.40 | 17 |
| 52.01 | 19 |
| 55.13 | 24 |
| 61.18 | 24 |
| 63.00 | 16 |
| 69.27 | 4 |
| 79.21 | 9 |

Structure:
Cell lengths 3.516, 3.516, 5.970 Å; angles 90.00, 90.00, 120.00 degrees
Element x y z (fractional)
Bi: 0.000 0.000 0.000
Pb: 0.667 0.333 0.500

Record 7
Structure and calculated powder diffraction line list of BiPb4 (a cell relaxed with GGA-PBE; Cu Kα).

Main lines, in order of rising 2θ (10° ≤ 2θ ≤ 80°):
| 2theta | Rel. int. |
| --- | --- |
| 30.59 | 100 |
| 31.23 | 32 |
| 35.66 | 67 |
| 50.90 | 25 |
| 51.73 | 24 |
| 60.56 | 15 |
| 60.93 | 29 |
| 61.68 | 14 |
| 63.69 | 13 |
| 75.52 | 8 |

Structure:
Cell lengths 3.588, 3.588, 42.965 Å; angles 90.00, 90.00, 120.00 degrees
Element x y z (fractional)
Bi: 0.000 0.000 0.000
Bi: 0.333 0.667 0.667
Bi: 0.667 0.333 0.333
Pb: 0.000 0.000 0.200
Pb: 0.000 0.000 0.400
Pb: 0.000 0.000 0.600
Pb: 0.000 0.000 0.800
Pb: 0.333 0.667 0.066
Pb: 0.333 0.667 0.267
Pb: 0.333 0.667 0.467
Pb: 0.333 0.667 0.867
Pb: 0.667 0.333 0.133
Pb: 0.667 0.333 0.533
Pb: 0.667 0.333 0.733
Pb: 0.667 0.333 0.934